PrNd6Er6: computed powder diffraction line list (Cu Kα X-rays), based on a PBE-relaxed structure.

Principal peaks in the range 5° ≤ 2θ ≤ 70°, low angle first:
d_spacing	2θ/deg	intensity
3.366	26.5	30.1
3.196	27.9	21.8
2.915	30.7	57.3
2.903	30.8	79.9
2.866	31.2	31.5
2.598	34.5	100.0
2.572	34.9	30.9
1.683	54.5	35.5
1.662	55.3	28.7
1.451	64.2	24.1

Structure:
```
PrNd6Er6
1.0
6.7320 0.0000 0.0000
-3.3660 5.8301 0.0000
0.0000 0.0000 11.4643
Pr Nd Er
1 6 6
Direct
0.0000 0.0000 0.0000 Pr
0.0000 0.0000 0.3471 Nd
0.0000 0.0000 0.6529 Nd
0.3333 0.6667 0.0000 Nd
0.3333 0.6667 0.5000 Nd
0.6667 0.3333 0.0000 Nd
0.6667 0.3333 0.5000 Nd
0.0000 0.5000 0.2474 Er
0.0000 0.5000 0.7526 Er
0.5000 0.0000 0.2474 Er
0.5000 0.0000 0.7526 Er
0.5000 0.5000 0.2474 Er
0.5000 0.5000 0.7526 Er
```

***

Pr7Nd16Er6: computed powder diffraction line list (Cu Kα X-rays), based on a PBE-relaxed structure.

Principal peaks in the range 5° ≤ 2θ ≤ 70°, low angle first:
d_spacing	2θ/deg	intensity
5.714	15.5	4.4
3.614	24.6	5.7
3.299	27.0	6.5
3.111	28.7	8.2
2.857	31.3	100.0
2.732	32.8	5.6
2.556	35.1	5.4
2.020	44.9	14.5
1.650	55.7	28.0
1.429	65.3	7.9

Structure:
```
Pr7Nd16Er6
1.0
0.0000 8.0815 8.0815
8.0815 0.0000 8.0815
8.0815 8.0815 0.0000
Pr Nd Er
7 16 6
Direct
0.0000 0.0000 0.0000 Pr
0.0000 0.0000 0.5000 Pr
0.0000 0.5000 0.0000 Pr
0.0000 0.5000 0.5000 Pr
0.5000 0.0000 0.0000 Pr
0.5000 0.0000 0.5000 Pr
0.5000 0.5000 0.0000 Pr
0.0480 0.6507 0.6507 Nd
0.1257 0.1257 0.1257 Nd
0.1257 0.1257 0.6229 Nd
0.1257 0.6229 0.1257 Nd
0.3493 0.3493 0.3493 Nd
0.3493 0.3493 0.9520 Nd
0.3493 0.9520 0.3493 Nd
0.3771 0.8743 0.8743 Nd
0.6229 0.1257 0.1257 Nd
0.6507 0.0480 0.6507 Nd
0.6507 0.6507 0.0480 Nd
0.6507 0.6507 0.6507 Nd
0.8743 0.3771 0.8743 Nd
0.8743 0.8743 0.3771 Nd
0.8743 0.8743 0.8743 Nd
0.9520 0.3493 0.3493 Nd
0.2620 0.2620 0.7380 Er
0.2620 0.7380 0.2620 Er
0.2620 0.7380 0.7380 Er
0.7380 0.2620 0.2620 Er
0.7380 0.2620 0.7380 Er
0.7380 0.7380 0.2620 Er
```